No. 1
The following is a calculated powder diffraction line list of Gd2TmNiIr2Pb3. It was derived from DFT lattice parameters and positions (PBE), using Cu Kα (weighted mean of Kα1 and Kα2).

```
data_Gd2TmNiIr2Pb3
_cell_length_a 3.779
_cell_length_b 7.736
_cell_length_c 7.736
_cell_angle_alpha 119.74
_cell_angle_beta 90.00
_cell_angle_gamma 90.00
_space_group_name_H-M_alt 'P 1'
_space_group_IT_number 1
loop_
_space_group_symop_operation_xyz
'x,y,z'
loop_
_atom_site_label
_atom_site_type_symbol
_atom_site_fract_x
_atom_site_fract_y
_atom_site_fract_z
_atom_site_occupancy
Gd1 Gd 0.000 0.204 0.796 1
Gd2 Gd 0.000 0.796 0.204 1
Tm1 Tm 0.000 0.387 0.387 1
Ni1 Ni 0.000 0.794 0.794 1
Ir1 Ir 0.500 0.133 0.461 1
Ir2 Ir 0.500 0.461 0.133 1
Pb1 Pb 0.500 0.054 0.054 1
Pb2 Pb 0.500 0.538 0.795 1
Pb3 Pb 0.500 0.795 0.538 1
```

Top 10 peaks for 10° ≤ 2θ ≤ 90°, by angle:
| two_theta | intensity |
| --- | --- |
| 33.12 | 100.0 |
| 35.31 | 22.1 |
| 35.44 | 41.8 |
| 35.80 | 70.6 |
| 40.28 | 25.5 |
| 42.92 | 20.1 |
| 48.16 | 21.7 |
| 61.14 | 18.4 |
| 64.53 | 12.8 |
| 65.56 | 21.0 |

---

No. 2
The following is a calculated powder diffraction line list of Tb2GdNiSn3Ir2. It was derived from DFT lattice parameters and positions (PBE), using Cu Kα (weighted mean of Kα1 and Kα2).

```
data_Tb2GdNiSn3Ir2
_cell_length_a 3.840
_cell_length_b 7.536
_cell_length_c 7.536
_cell_angle_alpha 120.02
_cell_angle_beta 90.00
_cell_angle_gamma 90.00
_space_group_name_H-M_alt 'P 1'
_space_group_IT_number 1
loop_
_space_group_symop_operation_xyz
'x,y,z'
loop_
_atom_site_label
_atom_site_type_symbol
_atom_site_fract_x
_atom_site_fract_y
_atom_site_fract_z
_atom_site_occupancy
Tb1 Tb 0.000 0.203 0.797 1
Tb2 Tb 0.000 0.797 0.203 1
Gd1 Gd 0.000 0.391 0.391 1
Ni1 Ni 0.000 0.797 0.797 1
Sn1 Sn 0.500 0.052 0.052 1
Sn2 Sn 0.500 0.542 0.797 1
Sn3 Sn 0.500 0.797 0.542 1
Ir1 Ir 0.500 0.130 0.464 1
Ir2 Ir 0.500 0.464 0.130 1
```

Top 10 peaks for 10° ≤ 2θ ≤ 90°, by angle:
| two_theta | intensity |
| --- | --- |
| 33.32 | 100.0 |
| 36.12 | 72.1 |
| 36.43 | 45.9 |
| 41.51 | 38.0 |
| 43.61 | 22.0 |
| 47.35 | 21.8 |
| 61.17 | 21.0 |
| 64.76 | 20.6 |
| 67.10 | 26.5 |
| 70.53 | 12.6 |

---

No. 3
The following is a calculated powder diffraction line list of Gd3Tl2NiSnIr2. It was derived from DFT lattice parameters and positions (PBE), using Cu Kα (weighted mean of Kα1 and Kα2).

```
data_Gd3Tl2NiSnIr2
_cell_length_a 3.839
_cell_length_b 7.659
_cell_length_c 7.659
_cell_angle_alpha 120.02
_cell_angle_beta 90.00
_cell_angle_gamma 90.00
_space_group_name_H-M_alt 'P 1'
_space_group_IT_number 1
loop_
_space_group_symop_operation_xyz
'x,y,z'
loop_
_atom_site_label
_atom_site_type_symbol
_atom_site_fract_x
_atom_site_fract_y
_atom_site_fract_z
_atom_site_occupancy
Gd1 Gd 0.000 0.000 0.000 1
Gd2 Gd 0.000 0.177 0.587 1
Gd3 Gd 0.000 0.587 0.177 1
Tl1 Tl 0.500 0.587 0.840 1
Tl2 Tl 0.500 0.840 0.587 1
Ni1 Ni 0.000 0.572 0.572 1
Sn1 Sn 0.500 0.338 0.338 1
Ir1 Ir 0.500 0.257 0.935 1
Ir2 Ir 0.500 0.935 0.257 1
```

Top 10 peaks for 10° ≤ 2θ ≤ 90°, by angle:
| two_theta | intensity |
| --- | --- |
| 23.18 | 8.7 |
| 33.04 | 70.9 |
| 35.80 | 100.0 |
| 40.82 | 24.2 |
| 43.10 | 20.2 |
| 47.36 | 17.5 |
| 60.78 | 22.4 |
| 64.26 | 12.8 |
| 66.05 | 21.0 |
| 69.38 | 12.0 |

---

No. 4
The following is a calculated powder diffraction line list of GdTm2NiSn3Ir2. It was derived from DFT lattice parameters and positions (PBE), using Cu Kα (weighted mean of Kα1 and Kα2).

```
data_GdTm2NiSn3Ir2
_cell_length_a 3.732
_cell_length_b 7.571
_cell_length_c 7.571
_cell_angle_alpha 120.21
_cell_angle_beta 90.00
_cell_angle_gamma 90.00
_space_group_name_H-M_alt 'P 1'
_space_group_IT_number 1
loop_
_space_group_symop_operation_xyz
'x,y,z'
loop_
_atom_site_label
_atom_site_type_symbol
_atom_site_fract_x
_atom_site_fract_y
_atom_site_fract_z
_atom_site_occupancy
Gd1 Gd 0.000 0.000 0.000 1
Tm1 Tm 0.000 0.407 0.814 1
Tm2 Tm 0.000 0.814 0.407 1
Ni1 Ni 0.000 0.409 0.409 1
Sn1 Sn 0.500 0.151 0.408 1
Sn2 Sn 0.500 0.408 0.151 1
Sn3 Sn 0.500 0.663 0.663 1
Ir1 Ir 0.500 0.075 0.736 1
Ir2 Ir 0.500 0.736 0.075 1
```

Top 10 peaks for 10° ≤ 2θ ≤ 90°, by angle:
| two_theta | intensity |
| --- | --- |
| 33.74 | 100.0 |
| 36.25 | 32.2 |
| 36.42 | 37.2 |
| 36.52 | 50.5 |
| 41.40 | 26.0 |
| 43.85 | 14.3 |
| 48.80 | 20.4 |
| 62.30 | 20.3 |
| 65.84 | 19.9 |
| 67.09 | 18.5 |